LaCeNd2Dy: calculated powder X-ray diffraction pattern (copper Kα), based on a crystal structure in Alexandria, relaxed with PBE.
Kinematic intensities with the Lorentz-polarization factor, no thermal factor.

Crystal structure
a = 8.608 Å, b = 6.344 Å, c = 6.276 Å
α = 90.00°, β = 93.16°, γ = 90.00°
Space group P2/c (No. 13)
Inequivalent atoms, fractional coordinates:
La 0.000 0.000 0.000 (multiplicity 2)
Ce 0.000 0.459 0.250 (multiplicity 2)
Nd 0.309 0.310 0.734 (multiplicity 4)
Dy 0.500 0.174 0.250 (multiplicity 2)

Largest 10 diffraction maxima, by intensity, 2θ = 10–80°:
2θ 30.03, I 100
2θ 29.43, I 89
2θ 28.27, I 81
2θ 33.06, I 71
2θ 28.49, I 62
2θ 31.85, I 43
2θ 34.06, I 42
2θ 36.61, I 42
2θ 44.01, I 39
2θ 35.16, I 37



LaCePrDy: calculated powder X-ray diffraction pattern (copper Kα), based on a crystal structure in Alexandria, relaxed with PBE.
Kinematic intensities with the Lorentz-polarization factor, no thermal factor.

Crystal structure
a = 8.200 Å, b = 8.200 Å, c = 8.200 Å
α = 90.00°, β = 90.00°, γ = 90.00°
Space group F-43m (No. 216)
Inequivalent atoms, fractional coordinates:
La 0.000 0.000 0.000 (multiplicity 4)
Ce 0.250 0.250 0.750 (multiplicity 4)
Pr 0.000 0.000 0.500 (multiplicity 4)
Dy 0.250 0.250 0.250 (multiplicity 4)

Largest 5 diffraction maxima, by intensity, 2θ = 10–80°:
2θ 30.84, I 100
2θ 54.85, I 39
2θ 44.18, I 19
2θ 72.97, I 17
2θ 64.26, I 12



Li2Ce3DySe6: calculated powder X-ray diffraction pattern (copper Kα), based on a crystal structure in Alexandria, relaxed with PBE.
Kinematic intensities with the Lorentz-polarization factor, no thermal factor.

Crystal structure
a = 7.154 Å, b = 12.395 Å, c = 7.134 Å
α = 90.00°, β = 109.52°, γ = 90.00°
Space group C2/m (No. 12)
Inequivalent atoms, fractional coordinates:
Li 0.000 0.167 0.000 (multiplicity 4)
Ce 0.000 0.000 0.500 (multiplicity 2)
Ce 0.000 0.332 0.500 (multiplicity 4)
Dy 0.000 0.500 0.000 (multiplicity 2)
Se 0.243 0.000 0.235 (multiplicity 4)
Se 0.246 0.332 0.234 (multiplicity 8)

Largest 10 diffraction maxima, by intensity, 2θ = 10–80°:
2θ 30.64, I 100
2θ 43.83, I 37
2θ 43.93, I 36
2θ 54.42, I 19
2θ 72.35, I 17
2θ 72.49, I 15
2θ 63.79, I 12
2θ 25.28, I 10
2θ 13.17, I 9
2θ 33.48, I 7



LiCeDyTe3: calculated powder X-ray diffraction pattern (copper Kα), based on a crystal structure in Alexandria, relaxed with PBE.
Kinematic intensities with the Lorentz-polarization factor, no thermal factor.

Crystal structure
a = 8.991 Å, b = 4.303 Å, c = 9.579 Å
α = 90.00°, β = 103.95°, γ = 90.00°
Space group P2_1/m (No. 11)
Inequivalent atoms, fractional coordinates:
Li 0.086 0.250 0.086 (multiplicity 2)
Ce 0.188 0.250 0.732 (multiplicity 2)
Dy 0.330 0.750 0.342 (multiplicity 2)
Te 0.093 0.250 0.372 (multiplicity 2)
Te 0.233 0.750 0.004 (multiplicity 2)
Te 0.433 0.750 0.675 (multiplicity 2)

Largest 10 diffraction maxima, by intensity, 2θ = 10–80°:
2θ 29.12, I 100
2θ 28.81, I 35
2θ 37.81, I 22
2θ 40.12, I 20
2θ 42.00, I 19
2θ 35.16, I 19
2θ 20.32, I 17
2θ 37.63, I 15
2θ 62.14, I 15
2θ 51.73, I 14



CeDy5Mg6: calculated powder X-ray diffraction pattern (copper Kα), based on a crystal structure in Alexandria, relaxed with PBE.
Kinematic intensities with the Lorentz-polarization factor, no thermal factor.

Crystal structure
a = 5.369 Å, b = 16.087 Å, c = 7.574 Å
α = 90.00°, β = 90.00°, γ = 90.00°
Space group Cmmm (No. 65)
Inequivalent atoms, fractional coordinates:
Ce 0.000 0.000 0.000 (multiplicity 2)
Dy 0.000 0.000 0.500 (multiplicity 2)
Dy 0.000 0.333 0.000 (multiplicity 4)
Dy 0.000 0.336 0.500 (multiplicity 4)
Mg 0.000 0.168 0.252 (multiplicity 8)
Mg 0.000 0.500 0.251 (multiplicity 4)

Largest 10 diffraction maxima, by intensity, 2θ = 10–80°:
2θ 33.42, I 100
2θ 23.46, I 63
2θ 59.74, I 37
2θ 41.24, I 19
2θ 47.99, I 18
2θ 54.06, I 18
2θ 79.98, I 11
2θ 54.14, I 9
2θ 75.15, I 8
2θ 70.24, I 8



CeDyMgTc: calculated powder X-ray diffraction pattern (copper Kα), based on a crystal structure in Alexandria, relaxed with PBE.
Kinematic intensities with the Lorentz-polarization factor, no thermal factor.

Crystal structure
a = 7.153 Å, b = 7.153 Å, c = 7.153 Å
α = 90.00°, β = 90.00°, γ = 90.00°
Space group F-43m (No. 216)
Inequivalent atoms, fractional coordinates:
Ce 0.000 0.000 0.000 (multiplicity 4)
Dy 0.000 0.000 0.500 (multiplicity 4)
Mg 0.250 0.250 0.750 (multiplicity 4)
Tc 0.250 0.250 0.250 (multiplicity 4)

Largest 10 diffraction maxima, by intensity, 2θ = 10–80°:
2θ 35.50, I 100
2θ 63.74, I 36
2θ 24.90, I 20
2θ 51.07, I 18
2θ 75.13, I 11
2θ 57.63, I 8
2θ 21.52, I 8
2θ 43.84, I 6
2θ 41.89, I 4
2θ 56.04, I 2